[1]
For La2CuHAu, a cell relaxed with GGA-PBE gives the calculated powder XRD pattern in this record (a wavelength of 1.5418 Å).

Atomic structure:
```
data_La2CuHAu
_chemical_formula_sum 'La2 Cu1 H1 Au1'
_symmetry_space_group_name_H-M 'P 4/m m m'
_symmetry_Int_Tables_number 123
_symmetry_space_group_name_Hall '-P 4 2'
_cell_length_a 5.200
_cell_length_b 5.200
_cell_length_c 3.868
_cell_angle_alpha 90.00
_cell_angle_beta 90.00
_cell_angle_gamma 90.00
loop_
_atom_site_label
_atom_site_type_symbol
_atom_site_fract_x
_atom_site_fract_y
_atom_site_fract_z
_atom_site_occupancy
La1 La 0.000 0.500 0.000 1
Cu1 Cu 0.000 0.000 0.500 1
H1 H 0.000 0.000 0.000 1
Au1 Au 0.500 0.500 0.500 1
```

Largest 10 diffraction maxima, sorted by position, 2θ from 10° to 80°:
h k l	Position (°2θ)	I/Imax
1 0 0	17.1	13
1 0 1	28.8	9
1 1 1	33.6	100
2 0 0	34.5	47
0 0 2	47.0	10
2 2 0	49.6	17
2 0 2	59.6	19
3 1 1	61.2	35
2 2 2	70.7	12
1 1 3	78.6	9

---

[2]
For Hf2CuAu2, a cell relaxed with GGA-PBE gives the calculated powder XRD pattern in this record (a wavelength of 1.5418 Å).

Atomic structure:
```
data_Hf2CuAu2
_chemical_formula_sum 'Hf4 Cu2 Au4'
_symmetry_space_group_name_H-M 'P 4/m b m'
_symmetry_Int_Tables_number 127
_symmetry_space_group_name_Hall '-P 4 2ab'
_cell_length_a 7.284
_cell_length_b 7.284
_cell_length_c 3.637
_cell_angle_alpha 90.00
_cell_angle_beta 90.00
_cell_angle_gamma 90.00
loop_
_atom_site_label
_atom_site_type_symbol
_atom_site_fract_x
_atom_site_fract_y
_atom_site_fract_z
_atom_site_occupancy
Hf1 Hf 0.169 0.331 0.000 1
Cu1 Cu 0.000 0.000 0.500 1
Au1 Au 0.136 0.636 0.500 1
```

Largest 10 diffraction maxima, sorted by position, 2θ from 10° to 80°:
h k l	Position (°2θ)	I/Imax
1 1 0	17.2	18
2 0 0	24.4	8
2 0 1	34.9	10
2 1 1	37.0	100
3 1 0	39.1	29
0 0 2	50.1	19
3 3 0	53.4	11
4 1 1	58.0	11
3 1 2	65.4	13
5 2 1	74.9	17

---

[3]
For HfCuAu, a cell relaxed with GGA-PBE gives the calculated powder XRD pattern in this record (a wavelength of 1.5418 Å).

Atomic structure:
```
data_HfCuAu
_chemical_formula_sum 'Hf4 Cu4 Au4'
_symmetry_space_group_name_H-M 'A m a 2'
_symmetry_Int_Tables_number 40
_cell_length_a 4.862
_cell_length_b 4.864
_cell_length_c 8.667
_cell_angle_alpha 90.00
_cell_angle_beta 90.00
_cell_angle_gamma 90.00
loop_
_symmetry_equiv_pos_as_xyz
'x,y,z'
'-x,-y,z'
'-x+1/2,y,z'
'x+1/2,-y,z'
'x,y+1/2,z+1/2'
'-x,-y+1/2,z+1/2'
'-x+1/2,y+1/2,z+1/2'
'x+1/2,-y+1/2,z+1/2'
loop_
_atom_site_label
_atom_site_type_symbol
_atom_site_fract_x
_atom_site_fract_y
_atom_site_fract_z
_atom_site_occupancy
Hf1 Hf 0.250 0.249 0.000 1
Cu1 Cu 0.250 0.248 0.666 1
Au1 Au 0.250 0.248 0.323 1
```

Largest 10 diffraction maxima, sorted by position, 2θ from 10° to 80°:
h k l	Position (°2θ)	I/Imax
0 0 2	20.5	7
1 1 1	27.9	23
2 0 0	37.0	66
1 1 3	40.8	100
2 2 0	53.3	23
3 1 1	61.2	6
0 0 6	64.5	6
3 1 3	69.2	42
2 0 6	76.7	15
4 0 0	78.7	7

---

[4]
For HfCu2Au6, a cell relaxed with GGA-PBE gives the calculated powder XRD pattern in this record (a wavelength of 1.5418 Å).

Atomic structure:
```
data_HfCu2Au6
_chemical_formula_sum 'Hf2 Cu4 Au12'
_symmetry_space_group_name_H-M 'C 1 2/m 1'
_symmetry_Int_Tables_number 12
_cell_length_a 9.124
_cell_length_b 4.031
_cell_length_c 8.777
_cell_angle_alpha 90.00
_cell_angle_beta 106.89
_cell_angle_gamma 90.00
loop_
_symmetry_equiv_pos_as_xyz
'x,y,z'
'-x,-y,-z'
'-x,y,-z'
'x,-y,z'
'x+1/2,y+1/2,z'
'-x+1/2,-y+1/2,-z'
'-x+1/2,y+1/2,-z'
'x+1/2,-y+1/2,z'
loop_
_atom_site_label
_atom_site_type_symbol
_atom_site_fract_x
_atom_site_fract_y
_atom_site_fract_z
_atom_site_occupancy
Hf1 Hf 0.000 0.000 0.000 1
Cu1 Cu 0.165 0.500 0.228 1
Au1 Au 0.005 0.000 0.324 1
Au2 Au 0.167 0.500 0.893 1
Au3 Au 0.168 0.500 0.559 1
```

Largest 10 diffraction maxima, sorted by position, 2θ from 10° to 80°:
h k l	Position (°2θ)	I/Imax
1 1 -3	38.0	100
3 1 0	38.1	100
2 0 3	43.2	35
4 0 -3	44.6	31
0 2 0	45.0	32
2 2 3	64.1	22
4 2 -3	65.2	20
1 1 6	75.6	13
5 1 3	75.9	14
3 3 0	78.4	25

---

[5]
For Hf2Cu7Pd2Au, a cell relaxed with GGA-PBE gives the calculated powder XRD pattern in this record (a wavelength of 1.5418 Å).

Atomic structure:
```
data_Hf2Cu7Pd2Au
_chemical_formula_sum 'Hf4 Cu14 Pd4 Au2'
_symmetry_space_group_name_H-M 'C m m m'
_symmetry_Int_Tables_number 65
_symmetry_space_group_name_Hall '-C 2 2'
_cell_length_a 5.225
_cell_length_b 5.509
_cell_length_c 12.595
_cell_angle_alpha 90.00
_cell_angle_beta 90.00
_cell_angle_gamma 90.00
loop_
_atom_site_label
_atom_site_type_symbol
_atom_site_fract_x
_atom_site_fract_y
_atom_site_fract_z
_atom_site_occupancy
Hf1 Hf 0.000 0.000 0.165 1
Cu1 Cu 0.000 0.000 0.500 1
Cu2 Cu 0.000 0.290 0.000 1
Cu3 Cu 0.250 0.250 0.349 1
Pd1 Pd 0.000 0.500 0.204 1
Au1 Au 0.000 0.500 0.500 1
```

Largest 10 diffraction maxima, sorted by position, 2θ from 10° to 80°:
h k l	Position (°2θ)	I/Imax
0 0 3	21.2	25
1 1 1	24.5	21
2 0 0	34.3	25
1 1 4	37.1	33
0 2 3	39.1	100
2 0 3	40.7	54
0 0 6	43.1	29
2 2 0	48.0	40
2 2 3	53.0	25
4 0 0	72.4	18

---

[6]
For Hf2Cu7Pt2Au, a cell relaxed with GGA-PBE gives the calculated powder XRD pattern in this record (a wavelength of 1.5418 Å).

Atomic structure:
```
data_Hf2Cu7Pt2Au
_chemical_formula_sum 'Hf4 Cu14 Pt4 Au2'
_symmetry_space_group_name_H-M 'C m m m'
_symmetry_Int_Tables_number 65
_symmetry_space_group_name_Hall '-C 2 2'
_cell_length_a 5.315
_cell_length_b 5.438
_cell_length_c 12.615
_cell_angle_alpha 90.00
_cell_angle_beta 90.00
_cell_angle_gamma 90.00
loop_
_atom_site_label
_atom_site_type_symbol
_atom_site_fract_x
_atom_site_fract_y
_atom_site_fract_z
_atom_site_occupancy
Hf1 Hf 0.000 0.000 0.171 1
Cu1 Cu 0.000 0.000 0.500 1
Cu2 Cu 0.000 0.282 0.000 1
Cu3 Cu 0.250 0.250 0.349 1
Pt1 Pt 0.000 0.500 0.201 1
Au1 Au 0.000 0.500 0.500 1
```

Largest 10 diffraction maxima, sorted by position, 2θ from 10° to 80°:
h k l	Position (°2θ)	I/Imax
0 0 3	21.1	37
0 2 0	32.9	17
2 0 0	33.7	33
1 1 4	37.0	25
0 2 3	39.5	100
2 0 3	40.1	61
0 0 6	43.0	27
2 2 0	47.9	44
2 2 3	52.9	31
2 2 6	66.3	17

---

[7]
For Hf2Zn5Cu2Au3, a cell relaxed with GGA-PBE gives the calculated powder XRD pattern in this record (a wavelength of 1.5418 Å).

Atomic structure:
```
data_Hf2Zn5Cu2Au3
_chemical_formula_sum 'Hf4 Zn10 Cu4 Au6'
_symmetry_space_group_name_H-M 'I 4/m m m'
_symmetry_Int_Tables_number 139
_symmetry_space_group_name_Hall '-I 4 2'
_cell_length_a 3.617
_cell_length_b 3.617
_cell_length_c 30.792
_cell_angle_alpha 90.00
_cell_angle_beta 90.00
_cell_angle_gamma 90.00
loop_
_atom_site_label
_atom_site_type_symbol
_atom_site_fract_x
_atom_site_fract_y
_atom_site_fract_z
_atom_site_occupancy
Hf1 Hf 0.000 0.000 0.221 1
Zn1 Zn 0.000 0.000 0.000 1
Zn2 Zn 0.000 0.500 0.075 1
Cu1 Cu 0.000 0.000 0.132 1
Au1 Au 0.000 0.000 0.328 1
Au2 Au 0.000 0.000 0.500 1
```

Largest 10 diffraction maxima, sorted by position, 2θ from 10° to 80°:
h k l	Position (°2θ)	I/Imax
1 0 7	32.0	51
1 1 0	35.1	73
1 1 2	35.6	39
1 0 9	36.1	77
1 1 6	39.4	94
1 0 11	40.8	100
2 0 0	50.5	72
2 1 9	63.6	29
1 1 18	65.7	33
2 1 11	66.8	49

---

[8]
For Cu2Hg2Au, a cell relaxed with GGA-PBE gives the calculated powder XRD pattern in this record (a wavelength of 1.5418 Å).

Atomic structure:
```
data_Cu2Hg2Au
_chemical_formula_sum 'Cu4 Hg4 Au2'
_symmetry_space_group_name_H-M 'I 4/m m m'
_symmetry_Int_Tables_number 139
_symmetry_space_group_name_Hall '-I 4 2'
_cell_length_a 3.499
_cell_length_b 3.499
_cell_length_c 15.131
_cell_angle_alpha 90.00
_cell_angle_beta 90.00
_cell_angle_gamma 90.00
loop_
_atom_site_label
_atom_site_type_symbol
_atom_site_fract_x
_atom_site_fract_y
_atom_site_fract_z
_atom_site_occupancy
Cu1 Cu 0.000 0.500 0.250 1
Hg1 Hg 0.000 0.000 0.110 1
Au1 Au 0.000 0.000 0.500 1
```

Largest 10 diffraction maxima, sorted by position, 2θ from 10° to 80°:
h k l	Position (°2θ)	I/Imax
0 0 2	11.7	22
1 0 3	31.1	85
1 1 0	36.3	39
1 1 2	38.3	54
1 0 5	39.4	100
1 1 4	43.7	22
2 0 0	52.3	36
2 1 3	62.1	24
2 1 5	67.4	42
1 1 10	73.3	21

---

[9]
For CuHgAu5, a cell relaxed with GGA-PBE gives the calculated powder XRD pattern in this record (a wavelength of 1.5418 Å).

Atomic structure:
```
data_CuHgAu5
_chemical_formula_sum 'Cu2 Hg2 Au10'
_symmetry_space_group_name_H-M 'I m m 2'
_symmetry_Int_Tables_number 44
_cell_length_a 5.421
_cell_length_b 9.501
_cell_length_c 7.767
_cell_angle_alpha 90.00
_cell_angle_beta 90.00
_cell_angle_gamma 90.00
loop_
_symmetry_equiv_pos_as_xyz
'x,y,z'
'-x,-y,z'
'-x,y,z'
'x,-y,z'
'x+1/2,y+1/2,z+1/2'
'-x+1/2,-y+1/2,z+1/2'
'-x+1/2,y+1/2,z+1/2'
'x+1/2,-y+1/2,z+1/2'
loop_
_atom_site_label
_atom_site_type_symbol
_atom_site_fract_x
_atom_site_fract_y
_atom_site_fract_z
_atom_site_occupancy
Cu1 Cu 0.000 0.000 0.000 1
Hg1 Hg 0.000 0.500 0.904 1
Au1 Au 0.000 0.250 0.708 1
Au2 Au 0.000 0.500 0.540 1
Au3 Au 0.246 0.500 0.220 1
```

Largest 10 diffraction maxima, sorted by position, 2θ from 10° to 80°:
h k l	Position (°2θ)	I/Imax
0 1 1	14.7	32
0 2 0	18.7	41
1 1 0	18.8	42
1 0 1	20.0	92
0 1 3	36.0	50
2 1 1	36.4	49
0 4 0	37.9	52
1 2 3	43.2	77
2 2 2	45.0	100
0 3 3	45.2	27

---

[10]
For CuHgAu2, a cell relaxed with GGA-PBE gives the calculated powder XRD pattern in this record (a wavelength of 1.5418 Å).

Atomic structure:
```
data_CuHgAu2
_chemical_formula_sum 'Cu2 Hg2 Au4'
_symmetry_space_group_name_H-M 'I m m m'
_symmetry_Int_Tables_number 71
_symmetry_space_group_name_Hall '-I 2 2'
_cell_length_a 3.232
_cell_length_b 4.646
_cell_length_c 9.452
_cell_angle_alpha 90.00
_cell_angle_beta 90.00
_cell_angle_gamma 90.00
loop_
_atom_site_label
_atom_site_type_symbol
_atom_site_fract_x
_atom_site_fract_y
_atom_site_fract_z
_atom_site_occupancy
Cu1 Cu 0.000 0.000 0.000 1
Hg1 Hg 0.000 0.000 0.500 1
Au1 Au 0.000 0.500 0.276 1
```

Largest 10 diffraction maxima, sorted by position, 2θ from 10° to 80°:
h k l	Position (°2θ)	I/Imax
1 0 1	29.2	10
0 1 3	34.4	17
0 0 4	38.1	22
0 2 0	38.8	27
1 1 2	38.9	100
0 2 4	55.5	15
1 1 6	69.4	11
1 3 2	70.3	18
2 0 4	70.6	15
2 2 0	71.1	9

---

[11]
For Cu3HgAu3, a cell relaxed with GGA-PBE gives the calculated powder XRD pattern in this record (a wavelength of 1.5418 Å).

Atomic structure:
```
data_Cu3HgAu3
_chemical_formula_sum 'Cu6 Hg2 Au6'
_symmetry_space_group_name_H-M 'P m -3 n'
_symmetry_Int_Tables_number 223
_symmetry_space_group_name_Hall '-P 4n 2 3'
_cell_length_a 7.024
_cell_length_b 7.024
_cell_length_c 7.024
_cell_angle_alpha 90.00
_cell_angle_beta 90.00
_cell_angle_gamma 90.00
loop_
_atom_site_label
_atom_site_type_symbol
_atom_site_fract_x
_atom_site_fract_y
_atom_site_fract_z
_atom_site_occupancy
Cu1 Cu 0.000 0.250 0.500 1
Hg1 Hg 0.000 0.000 0.000 1
Au1 Au 0.000 0.500 0.250 1
```

Largest 10 diffraction maxima, sorted by position, 2θ from 10° to 80°:
h k l	Position (°2θ)	I/Imax
2 0 0	25.4	42
2 1 0	28.4	38
2 1 1	31.2	100
2 2 2	44.7	21
3 2 1	48.5	59
4 0 0	52.1	27
4 2 0	58.8	17
3 3 2	62.0	14
5 2 1	73.9	17
4 4 0	76.8	18

---

[12]
For InCu2HgAu, a cell relaxed with GGA-PBE gives the calculated powder XRD pattern in this record (a wavelength of 1.5418 Å).

Atomic structure:
```
data_InCu2HgAu
_chemical_formula_sum 'In1 Cu2 Hg1 Au1'
_symmetry_space_group_name_H-M 'P 4/m m m'
_symmetry_Int_Tables_number 123
_symmetry_space_group_name_Hall '-P 4 2'
_cell_length_a 4.913
_cell_length_b 4.913
_cell_length_c 5.286
_cell_angle_alpha 90.00
_cell_angle_beta 90.00
_cell_angle_gamma 90.00
loop_
_atom_site_label
_atom_site_type_symbol
_atom_site_fract_x
_atom_site_fract_y
_atom_site_fract_z
_atom_site_occupancy
In1 In 0.000 0.000 0.000 1
Cu1 Cu 0.000 0.500 0.500 1
Hg1 Hg 0.500 0.500 0.500 1
Au1 Au 0.500 0.500 0.000 1
```

Largest 10 diffraction maxima, sorted by position, 2θ from 10° to 80°:
h k l	Position (°2θ)	I/Imax
1 0 0	18.1	100
1 1 0	25.6	81
1 1 1	30.8	47
0 0 2	33.9	61
2 0 0	36.6	99
1 0 2	38.7	32
1 1 2	43.0	42
2 0 2	50.7	77
2 2 0	52.7	34
2 2 2	64.2	38

---

[13]
For CuHgAuO4, a cell relaxed with GGA-PBE gives the calculated powder XRD pattern in this record (a wavelength of 1.5418 Å).

Atomic structure:
```
data_CuHgAuO4
_chemical_formula_sum 'Cu4 Hg4 Au4 O16'
_symmetry_space_group_name_H-M 'I m m a'
_symmetry_Int_Tables_number 74
_symmetry_space_group_name_Hall '-I 2b 2'
_cell_length_a 5.587
_cell_length_b 6.052
_cell_length_c 12.528
_cell_angle_alpha 90.00
_cell_angle_beta 90.00
_cell_angle_gamma 90.00
loop_
_atom_site_label
_atom_site_type_symbol
_atom_site_fract_x
_atom_site_fract_y
_atom_site_fract_z
_atom_site_occupancy
Cu1 Cu 0.250 0.250 0.250 1
Hg1 Hg 0.000 0.250 0.642 1
Au1 Au 0.000 0.000 0.000 1
O1 O 0.000 0.047 0.244 1
O2 O 0.242 0.250 0.003 1
```

Largest 10 diffraction maxima, sorted by position, 2θ from 10° to 80°:
h k l	Position (°2θ)	I/Imax
1 1 2	25.9	80
1 0 3	26.6	100
2 0 0	32.0	24
0 2 2	32.9	26
1 2 1	34.5	77
2 1 1	36.1	35
0 2 4	41.5	21
2 2 4	53.4	55
3 2 1	58.7	22
1 2 7	62.5	21

---

[14]
For CuHgPdAu, a cell relaxed with GGA-PBE gives the calculated powder XRD pattern in this record (a wavelength of 1.5418 Å).

Atomic structure:
```
data_CuHgPdAu
_chemical_formula_sum 'Cu2 Hg2 Pd2 Au2'
_symmetry_space_group_name_H-M 'I -4 m 2'
_symmetry_Int_Tables_number 119
_symmetry_space_group_name_Hall 'I -4 -2'
_cell_length_a 4.052
_cell_length_b 4.052
_cell_length_c 8.148
_cell_angle_alpha 90.00
_cell_angle_beta 90.00
_cell_angle_gamma 90.00
loop_
_atom_site_label
_atom_site_type_symbol
_atom_site_fract_x
_atom_site_fract_y
_atom_site_fract_z
_atom_site_occupancy
Cu1 Cu 0.000 0.000 0.000 1
Hg1 Hg 0.000 0.000 0.500 1
Pd1 Pd 0.000 0.500 0.250 1
Au1 Au 0.000 0.500 0.750 1
```

Largest 10 diffraction maxima, sorted by position, 2θ from 10° to 80°:
h k l	Position (°2θ)	I/Imax
1 0 1	24.5	23
1 1 2	38.4	100
1 0 3	40.0	7
0 0 4	44.5	17
2 0 0	44.7	33
2 1 1	51.7	7
2 0 4	64.9	21
2 2 0	65.1	11
1 1 6	77.8	13
3 1 2	78.2	25